Diffraction record for UCd2RuO8. The X-ray powder pattern is simulated, not measured: it uses a PBE-relaxed structure and CuKα.
Intensities are scaled so that the largest is 1000.

Structural model:
a b c (Å): 5.040 5.040 6.545
angles (deg): 90.00 90.00 91.51
Element x y z (fractional)
U 0.000 0.000 0.000
Cd 0.500 0.500 0.257
Cd 0.500 0.500 0.743
Ru 0.000 0.000 0.500
O 0.182 0.818 0.263
O 0.182 0.818 0.737
O 0.259 0.259 0.500
O 0.282 0.282 0.000
O 0.718 0.718 0.000
O 0.741 0.741 0.500
O 0.818 0.182 0.263
O 0.818 0.182 0.737

Largest 12 diffraction maxima, by angle, 2θ from 10° to 90°:
Position (°2θ)  d_spacing  Rel. int.
17.60  5.038  116
22.27  3.992  142
24.66  3.610  641
25.33  3.516  555
32.63  2.744  1000
35.64  2.519  297
48.72  1.869  450
49.46  1.843  350
52.01  1.758  108
58.38  1.581  122
62.13  1.494  224
85.24  1.139  118